The following is a calculated PXRD pattern of Ba2Ni2ClF7. It was derived from a cell relaxed with PBE+U, using Cu Kα, 1.54184 Å.
Intensities are scaled so that the largest is 100.

Main lines, most intense first (2θ from 5° to 70°):
- 2θ = 25.80°, rel. 100, (0 1 2)
- 2θ = 28.51°, rel. 60, (2 1 0)
- 2θ = 41.16°, rel. 36, (1 2 2)
- 2θ = 51.48°, rel. 27, (1 2 -4)
- 2θ = 24.01°, rel. 26, (2 0 0)
- 2θ = 30.56°, rel. 26, (0 2 0)
- 2θ = 39.59°, rel. 26, (3 1 -2)
- 2θ = 40.37°, rel. 25, (1 0 -4)
- 2θ = 26.90°, rel. 23, (2 0 -2)
- 2θ = 39.23°, rel. 22, (2 2 0)

```
24
Lattice="7.7440 0.0000 0.0000 0.0000 5.8508 0.0000 -2.5833 0.0000 8.5558" Properties=species:S:1:pos:R:3 pbc="T T T"
Ba 0.2397 1.4627 3.5262
Ba -0.8280 1.4627 7.9392
Ba 5.9887 4.3881 0.6166
Ba 4.9211 4.3881 5.0295
Ni 2.0082 4.3881 1.4912
Ni 0.6334 4.3881 6.2880
Ni 4.5274 1.4627 2.2678
Ni 3.1526 1.4627 7.0645
Cl 1.7680 4.3881 4.0252
Cl 3.3928 1.4627 4.5306
F 0.5949 2.9830 1.3734
F 0.5949 5.7932 1.3734
F -0.6033 2.9541 5.6051
F -0.6033 5.8221 5.6051
F -0.4845 4.3881 7.9992
F 3.3855 0.0122 1.4697
F 3.3855 2.9132 1.4697
F 1.7753 2.9376 7.0861
F 1.7753 5.8386 7.0861
F 5.6453 1.4627 0.5566
F 5.7641 0.0287 2.9506
F 5.7641 2.8967 2.9506
F 4.5659 0.0576 7.1824
F 4.5659 2.8678 7.1824
```